This entry pairs a crystal structure of SrNi9P5 with its calculated powder X-ray diffraction pattern. Radiation: Cu Kα (weighted mean of Kα1 and Kα2). Structure: a structure optimized by DFT (GGA-PBE).
No peak broadening, texture or thermal motion is included.

Crystal structure
```
data_SrNi9P5
_chemical_formula_sum 'Sr2 Ni18 P10'
_cell_length_a 6.5090
_cell_length_b 6.5090
_cell_length_c 10.7687
_cell_angle_alpha 90.00
_cell_angle_beta 90.00
_cell_angle_gamma 120.00
_space_group_name_H-M_alt 'P 63/m m c'
_space_group_IT_number 194
_space_group_name_Hall '-P 6c 2c'
loop_
_atom_site_label
_atom_site_type_symbol
_atom_site_fract_x
_atom_site_fract_y
_atom_site_fract_z
Sr1 Sr 0.0000 0.0000 0.0000
Ni1 Ni 0.0718 0.5359 0.1075
Ni2 Ni 0.2026 0.4052 0.7500
P1 P 0.1738 0.3476 0.2500
P2 P 0.3333 0.6667 0.5617
```

Largest 8 diffraction maxima, in order of falling intensity, 5° ≤ 2θ ≤ 70°:
two_theta	I_rel	index
35.97	1000	2 0 2
54.96	775	2 1 4
46.66	699	2 0 4
32.14	652	1 1 2
49.77	636	2 1 3
31.75	595	2 0 0
37.00	560	1 0 4
49.23	541	3 0 1


This entry pairs a crystal structure of Zr2Te with its calculated powder X-ray diffraction pattern. Radiation: Cu Kα (weighted mean of Kα1 and Kα2). Structure: a structure optimized by DFT (GGA-PBE).
No peak broadening, texture or thermal motion is included.

Crystal structure
```
data_Zr2Te
_chemical_formula_sum 'Zr24 Te12'
_cell_length_a 20.115
_cell_length_b 3.856
_cell_length_c 10.770
_cell_angle_alpha 90.00
_cell_angle_beta 90.00
_cell_angle_gamma 90.00
_space_group_name_H-M_alt 'P n m a'
_space_group_IT_number 62
loop_
_space_group_symop_operation_xyz
'x,y,z'
'-x,-y,-z'
'-x+1/2,-y,z+1/2'
'x+1/2,y,-z+1/2'
'x+1/2,-y+1/2,-z+1/2'
'-x+1/2,y+1/2,z+1/2'
'-x,y+1/2,-z'
'x,-y+1/2,z'
loop_
_atom_site_label
_atom_site_type_symbol
_atom_site_fract_x
_atom_site_fract_y
_atom_site_fract_z
Zr1 Zr 0.015 0.250 0.109
Zr2 Zr 0.033 0.750 0.388
Zr3 Zr 0.104 0.250 0.853
Zr4 Zr 0.146 0.750 0.078
Zr5 Zr 0.159 0.250 0.542
Zr6 Zr 0.224 0.750 0.748
Te1 Te 0.073 0.750 0.661
Te2 Te 0.131 0.250 0.281
Te3 Te 0.240 0.250 0.962
```

Largest 8 diffraction maxima, in order of falling intensity, 5° ≤ 2θ ≤ 70°:
two_theta	I_rel	index
33.24	1000	5 1 1
36.72	733	8 0 1
34.12	500	0 1 3
31.49	415	3 1 2
47.14	411	0 2 0
36.33	410	5 1 2
34.48	395	2 0 4
40.31	271	5 0 4


This entry pairs a crystal structure of CeSe2 with its calculated powder X-ray diffraction pattern. Radiation: Cu Kα (weighted mean of Kα1 and Kα2). Structure: a structure optimized by DFT (GGA-PBE).
No peak broadening, texture or thermal motion is included.

Crystal structure
```
data_CeSe2
_chemical_formula_sum 'Ce13 Se26'
_cell_length_a 9.682
_cell_length_b 10.638
_cell_length_c 12.937
_cell_angle_alpha 98.38
_cell_angle_beta 94.75
_cell_angle_gamma 99.42
_space_group_name_H-M_alt 'P -1'
_space_group_IT_number 2
loop_
_space_group_symop_operation_xyz
'x,y,z'
'-x,-y,-z'
loop_
_atom_site_label
_atom_site_type_symbol
_atom_site_fract_x
_atom_site_fract_y
_atom_site_fract_z
Ce1 Ce 0.000 0.000 0.000
Ce2 Ce 0.074 0.227 0.305
Ce3 Ce 0.155 0.465 0.617
Ce4 Ce 0.227 0.694 0.925
Ce5 Ce 0.306 0.926 0.228
Ce6 Ce 0.384 0.155 0.535
Ce7 Ce 0.466 0.384 0.846
Se1 Se 0.015 0.958 0.214
Se2 Se 0.062 0.269 0.089
Se3 Se 0.096 0.196 0.523
Se4 Se 0.133 0.496 0.399
Se5 Se 0.178 0.425 0.833
Se6 Se 0.214 0.736 0.711
Se7 Se 0.244 0.657 0.140
Se8 Se 0.289 0.966 0.012
Se9 Se 0.329 0.886 0.444
Se10 Se 0.363 0.194 0.318
Se11 Se 0.407 0.115 0.751
Se12 Se 0.441 0.422 0.630
Se13 Se 0.486 0.347 0.062
```

Largest 8 diffraction maxima, in order of falling intensity, 5° ≤ 2θ ≤ 70°:
two_theta	I_rel	index
27.98	1000	3 -1 0
14.27	804	1 1 -1
42.02	603	0 2 5
27.85	498	0 3 1
37.64	410	1 4 0
37.79	359	1 2 -5
50.38	230	4 3 0
44.54	142	2 -5 0


This entry pairs a crystal structure of BNCl2 with its calculated powder X-ray diffraction pattern. Radiation: Cu Kα (weighted mean of Kα1 and Kα2). Structure: a structure optimized by DFT (GGA-PBE).
No peak broadening, texture or thermal motion is included.

Crystal structure
```
data_BNCl2
_chemical_formula_sum 'B9 N9 Cl18'
_cell_length_a 9.1056
_cell_length_b 9.1056
_cell_length_c 11.2200
_cell_angle_alpha 90.00
_cell_angle_beta 90.00
_cell_angle_gamma 120.00
_space_group_name_H-M_alt 'R 3'
_space_group_IT_number 146
_space_group_name_Hall 'R 3'
loop_
_atom_site_label
_atom_site_type_symbol
_atom_site_fract_x
_atom_site_fract_y
_atom_site_fract_z
B1 B 0.1842 0.0638 0.0000
N1 N 0.0611 0.8846 0.0007
Cl1 Cl 0.0688 0.4718 0.3301
Cl2 Cl 0.1339 0.7438 0.0017
```

Largest 8 diffraction maxima, in order of falling intensity, 5° ≤ 2θ ≤ 70°:
two_theta	I_rel	index
23.79	1000	0 0 3
31.05	599	2 1 1
34.07	483	3 -2 2
19.46	203	1 1 0
44.35	193	2 1 4
13.73	185	1 0 1
42.07	129	1 3 1
50.94	123	3 -2 5


This entry pairs a crystal structure of MoWSeS3 with its calculated powder X-ray diffraction pattern. Radiation: Cu Kα (weighted mean of Kα1 and Kα2). Structure: a structure optimized by DFT (GGA-PBE).
No peak broadening, texture or thermal motion is included.

Crystal structure
```
data_MoWSeS3
_chemical_formula_sum 'Mo2 W2 Se2 S6'
_cell_length_a 3.2199
_cell_length_b 3.2199
_cell_length_c 36.3595
_cell_angle_alpha 90.00
_cell_angle_beta 90.00
_cell_angle_gamma 120.00
_space_group_name_H-M_alt 'P 3 m 1'
_space_group_IT_number 156
loop_
_space_group_symop_operation_xyz
'x,y,z'
'-y,x-y,z'
'-x+y,-x,z'
'-y,-x,z'
'-x+y,y,z'
'x,x-y,z'
loop_
_atom_site_label
_atom_site_type_symbol
_atom_site_fract_x
_atom_site_fract_y
_atom_site_fract_z
Mo1 Mo 0.0000 0.0000 0.0000
Mo2 Mo 0.0000 0.0000 0.3757
W1 W 0.3333 0.6667 0.1879
W2 W 0.3333 0.6667 0.5636
Se1 Se 0.3333 0.6667 0.0471
Se2 Se 0.3333 0.6667 0.9529
S1 S 0.0000 0.0000 0.1449
S2 S 0.0000 0.0000 0.2308
S3 S 0.0000 0.0000 0.5207
S4 S 0.0000 0.0000 0.6066
S5 S 0.3333 0.6667 0.3330
S6 S 0.3333 0.6667 0.4185
```

Largest 8 diffraction maxima, in order of falling intensity, 5° ≤ 2θ ≤ 70°:
two_theta	I_rel	index
12.17	1000	0 0 5
37.85	564	1 0 8
7.29	348	0 0 3
45.96	324	0 1 13
32.09	257	1 0 0
14.62	248	0 0 6
57.23	165	1 1 0
34.45	163	1 0 5


This entry pairs a crystal structure of Mg2Cd with its calculated powder X-ray diffraction pattern. Radiation: Cu Kα (weighted mean of Kα1 and Kα2). Structure: a structure optimized by DFT (GGA-PBE).
No peak broadening, texture or thermal motion is included.

Crystal structure
```
data_Mg2Cd
_chemical_formula_sum 'Mg8 Cd4'
_cell_length_a 3.214
_cell_length_b 16.173
_cell_length_c 5.092
_cell_angle_alpha 90.00
_cell_angle_beta 90.00
_cell_angle_gamma 90.00
_space_group_name_H-M_alt 'C m c m'
_space_group_IT_number 63
_space_group_name_Hall '-C 2c 2'
loop_
_atom_site_label
_atom_site_type_symbol
_atom_site_fract_x
_atom_site_fract_y
_atom_site_fract_z
Mg1 Mg 0.000 0.109 0.250
Mg2 Mg 0.000 0.221 0.750
Cd1 Cd 0.000 0.444 0.250
```

Largest 8 diffraction maxima, in order of falling intensity, 5° ≤ 2θ ≤ 70°:
two_theta	I_rel	index
37.04	1000	1 3 1
10.94	877	0 2 0
37.76	406	0 6 1
35.25	340	0 0 2
28.18	332	0 4 1
20.61	326	0 2 1
28.31	303	1 1 0
43.49	213	1 5 1


This entry pairs a crystal structure of K2GaAs2 with its calculated powder X-ray diffraction pattern. Radiation: Cu Kα (weighted mean of Kα1 and Kα2). Structure: a structure optimized by DFT (GGA-PBE).
No peak broadening, texture or thermal motion is included.

Crystal structure
```
data_K2GaAs2
_chemical_formula_sum 'K16 Ga8 As16'
_cell_length_a 9.053
_cell_length_b 14.573
_cell_length_c 11.332
_cell_angle_alpha 90.00
_cell_angle_beta 118.18
_cell_angle_gamma 90.00
_space_group_name_H-M_alt 'P 1 21/c 1'
_space_group_IT_number 14
loop_
_space_group_symop_operation_xyz
'x,y,z'
'-x,-y,-z'
'-x,y+1/2,-z+1/2'
'x,-y+1/2,z+1/2'
loop_
_atom_site_label
_atom_site_type_symbol
_atom_site_fract_x
_atom_site_fract_y
_atom_site_fract_z
K1 K 0.007 0.128 0.468
K2 K 0.200 0.615 0.522
K3 K 0.410 0.129 0.088
K4 K 0.478 0.622 0.941
Ga1 Ga 0.005 0.557 0.743
Ga2 Ga 0.154 0.217 0.255
As1 As 0.104 0.715 0.772
As2 As 0.216 0.053 0.258
As3 As 0.267 0.026 0.776
As4 As 0.381 0.183 0.782
```

Largest 8 diffraction maxima, in order of falling intensity, 5° ≤ 2θ ≤ 70°:
two_theta	I_rel	index
17.76	1000	0 0 2
30.36	691	0 4 2
35.96	379	0 0 4
15.88	371	1 0 -2
11.09	321	1 0 0
12.65	316	1 1 0
32.11	307	1 0 -4
28.38	274	2 1 1